Entry 1:
Starting from a DFT-relaxed cell (GGA-PBE, Alexandria), the X-ray diffraction stick pattern of CeDyBiSb was calculated for a wavelength of 1.5418 Å.
Lines closer than 0.1° are merged.

Cell and atoms:
a = 4.4897 Å, b = 4.4897 Å, c = 22.0019 Å
α = 90.00°, β = 90.00°, γ = 120.00°
Space group R3m (No. 160, hexagonal axes)
One atom of each set of equivalent atoms:
Ce1 0.0000 0.0000 0.0000 x3
Dy1 0.0000 0.0000 0.5042 x3
Bi1 0.0000 0.0000 0.7541 x3
Sb1 0.0000 0.0000 0.2497 x3

Peak list (12 most intense, 15 to 90 degrees two-theta, sorted by position)
Position (°2θ)  intensity  hkl
23.23  3  1 0 1
28.10  100  1 0 4
30.68  2  0 1 5
36.77  1  0 0 9
40.17  77  1 1 0
42.09  1  1 1 3
49.74  28  0 2 4
55.58  2  1 1 9
58.11  13  2 0 8
65.77  36  2 1 4
72.99  27  3 0 0
86.75  9  2 2 0



Entry 2:
Starting from a DFT-relaxed cell (GGA-PBE, Alexandria), the X-ray diffraction stick pattern of Sr2CeDyBi4 was calculated for a wavelength of 1.5418 Å.
Lines closer than 0.1° are merged.

Cell and atoms:
a = 8.0407 Å, b = 4.6579 Å, c = 8.2056 Å
α = 90.00°, β = 109.26°, γ = 90.00°
Space group P2/m (No. 10)
One atom of each set of equivalent atoms:
Sr1 0.0000 0.0000 0.0000 x1
Sr2 0.5000 0.5000 0.0000 x1
Ce1 0.0000 0.5000 0.5000 x1
Dy1 0.5000 0.0000 0.5000 x1
Bi1 0.2423 0.0000 0.7246 x2
Bi2 0.2595 0.5000 0.2754 x2

Peak list (12 most intense, 15 to 90 degrees two-theta, sorted by position)
Position (°2θ)  intensity  hkl
23.38  10  2 0 0
26.94  100  1 1 1
38.16  25  1 1 -3
38.29  12  2 0 2
38.66  13  0 2 0
38.76  27  3 1 -1
47.74  14  2 2 -2
55.53  13  4 0 -4
62.34  10  3 1 -5
63.19  13  5 1 -3
69.66  9  4 2 -4
69.99  9  3 3 -1



Entry 3:
Starting from a DFT-relaxed cell (GGA-PBE, Alexandria), the X-ray diffraction stick pattern of Ce2DyThBi5 was calculated for a wavelength of 1.5418 Å.
Lines closer than 0.1° are merged.

Cell and atoms:
a = 5.7612 Å, b = 5.7612 Å, c = 11.8954 Å
α = 90.00°, β = 90.00°, γ = 90.00°
Space group P4/mmm (No. 123)
One atom of each set of equivalent atoms:
Ce1 0.0000 0.0000 0.2146 x2
Dy1 0.5000 0.5000 0.5000 x1
Th1 0.5000 0.5000 0.0000 x1
Bi1 0.0000 0.0000 0.5000 x1
Bi2 0.0000 0.5000 0.0000 x2
Bi3 0.5000 0.5000 0.2574 x2

Peak list (12 most intense, 15 to 90 degrees two-theta, sorted by position)
Position (°2θ)  intensity  hkl
21.82  63  1 1 0
23.08  38  1 1 1
26.52  25  1 1 2
27.30  24  1 0 3
30.05  47  0 0 4
31.05  100  2 0 0
31.49  30  1 1 3
37.44  24  1 1 4
43.75  70  2 0 4
44.48  38  2 2 0
54.61  37  2 2 4
81.41  24  4 2 4



Entry 4:
Starting from a DFT-relaxed cell (GGA-PBE, Alexandria), the X-ray diffraction stick pattern of CeEr4Bi5 was calculated for a wavelength of 1.5418 Å.
Lines closer than 0.1° are merged.

Cell and atoms:
a = 4.4789 Å, b = 6.3370 Å, c = 22.3788 Å
α = 90.00°, β = 90.00°, γ = 90.00°
Space group Immm (No. 71)
One atom of each set of equivalent atoms:
Ce1 0.0000 0.0000 0.0000 x2
Er1 0.0000 0.0000 0.2025 x4
Er2 0.0000 0.0000 0.3993 x4
Bi1 0.0000 0.5000 0.0000 x2
Bi2 0.0000 0.5000 0.1993 x4
Bi3 0.0000 0.5000 0.3968 x4

Peak list (11 most intense, 15 to 90 degrees two-theta, sorted by position)
Position (°2θ)  intensity  hkl
24.34  3  1 1 0
28.18  100  0 2 0
40.28  78  2 0 0
47.62  2  1 3 0
49.88  28  2 2 0
58.27  13  0 4 0
64.09  1  3 1 0
65.96  37  3 0 5
73.21  28  2 4 0
78.46  1  3 3 0
87.03  9  4 0 0